Entry 1:
This entry pairs a crystal structure of V4O5F7 with its theoretical powder XRD pattern. Radiation: Cu Kα. Structure: a DFT-relaxed cell (PBE+U, the Materials Project).
No peak broadening, texture or thermal motion is included.

The 12 most intense peaks (10° ≤ 2θ ≤ 90°), in order of rising 2θ:
hkl 0 1 -2, d = 3.797 Å, 2θ 23.43, intensity 49; hkl -1 1 1, d = 3.749 Å, 2θ 23.73, intensity 100; hkl 1 1 -1, d = 2.695 Å, 2θ 33.25, intensity 10; hkl 0 1 2, d = 2.683 Å, 2θ 33.40, intensity 6; hkl 1 -1 3, d = 2.641 Å, 2θ 33.94, intensity 7; hkl 1 1 -3, d = 2.280 Å, 2θ 39.53, intensity 7; hkl 1 0 3, d = 2.258 Å, 2θ 39.93, intensity 6; hkl 0 2 -4, d = 1.898 Å, 2θ 47.92, intensity 11; hkl -2 2 2, d = 1.877 Å, 2θ 48.49, intensity 11; hkl 2 0 2, d = 1.872 Å, 2θ 48.63, intensity 11; hkl -1 2 3, d = 1.694 Å, 2θ 54.13, intensity 13; hkl 2 -1 4, d = 1.664 Å, 2θ 55.20, intensity 6

Structure:
```
data_V4O5F7
_cell_length_a 5.2415
_cell_length_b 5.3926
_cell_length_c 9.1755
_cell_angle_alpha 106.88
_cell_angle_beta 90.18
_cell_angle_gamma 119.07
_symmetry_space_group_name_H-M 'P 1'
_symmetry_Int_Tables_number 1
_symmetry_space_group_name_Hall 'P 1'
loop_
_atom_site_label
_atom_site_type_symbol
_atom_site_fract_x
_atom_site_fract_y
_atom_site_fract_z
_atom_site_occupancy
V1 V 0.0000 0.0000 0.0000 1
V2 V 0.2066 0.5058 0.7461 1
V3 V 0.4313 0.9406 0.4987 1
V4 V 0.7266 0.4533 0.2396 1
O1 O 0.0696 0.7240 0.8343 1
O2 O 0.0779 0.7427 0.4077 1
O3 O 0.3546 0.2331 0.0908 1
O4 O 0.4287 0.7543 0.6188 1
O5 O 0.8529 0.2263 0.1513 1
F1 F 0.0101 0.2086 0.8549 1
F2 F 0.3948 0.2440 0.6533 1
F3 F 0.5224 0.2489 0.3802 1
F4 F 0.5668 0.7192 0.9034 1
F5 F 0.5700 0.7516 0.3364 1
F6 F 0.8876 0.2354 0.5719 1
F7 F 0.9074 0.7291 0.1208 1
```

***

Entry 2:
This entry pairs a crystal structure of Li9Mn7O16 with its theoretical powder XRD pattern. Radiation: Cu Kα. Structure: a DFT-relaxed cell (PBE+U, the Materials Project).
No peak broadening, texture or thermal motion is included.

The 12 most intense peaks (10° ≤ 2θ ≤ 90°), in order of rising 2θ:
hkl -1 1 1, d = 4.842 Å, 2θ 18.32, intensity 100; hkl 0 2 -2, d = 2.638 Å, 2θ 33.98, intensity 18; hkl 2 1 -1, d = 2.482 Å, 2θ 36.20, intensity 23; hkl 1 2 0, d = 2.412 Å, 2θ 37.28, intensity 6; hkl 1 -3 1, d = 2.207 Å, 2θ 40.90, intensity 36; hkl 0 1 3, d = 2.052 Å, 2θ 44.15, intensity 28; hkl 3 0 -2, d = 2.046 Å, 2θ 44.26, intensity 27; hkl 1 -2 4, d = 1.507 Å, 2θ 61.53, intensity 17; hkl -1 4 2, d = 1.498 Å, 2θ 61.94, intensity 8; hkl -4 3 1, d = 1.494 Å, 2θ 62.13, intensity 8; hkl -3 1 5, d = 1.458 Å, 2θ 63.86, intensity 7; hkl 3 1 1, d = 1.440 Å, 2θ 64.73, intensity 8

Structure:
```
data_Li9Mn7O16
_cell_length_a 6.5062
_cell_length_b 6.9191
_cell_length_c 7.7750
_cell_angle_alpha 92.49
_cell_angle_beta 114.13
_cell_angle_gamma 108.63
_symmetry_space_group_name_H-M 'P -1'
_symmetry_Int_Tables_number 2
_symmetry_space_group_name_Hall '-P 1'
loop_
_atom_site_label
_atom_site_type_symbol
_atom_site_fract_x
_atom_site_fract_y
_atom_site_fract_z
_atom_site_occupancy
Li1 Li 0.0000 0.0000 0.0000 1
Li2 Li 0.1206 0.4350 0.1851 1
Li3 Li 0.1215 0.9408 0.6968 1
Li4 Li 0.3713 0.8113 0.0600 1
Li5 Li 0.3771 0.3082 0.5612 1
Mn1 Mn 0.0000 0.5000 0.5000 1
Mn2 Mn 0.2476 0.8825 0.3709 1
Mn3 Mn 0.2504 0.3661 0.8786 1
Mn4 Mn 0.4948 0.2475 0.2480 1
O1 O 0.0559 0.7165 0.1097 1
O2 O 0.0600 0.2168 0.6117 1
O3 O 0.1934 0.6427 0.7712 1
O4 O 0.2057 0.1535 0.2841 1
O5 O 0.3039 0.6025 0.4802 1
O6 O 0.3211 0.1176 0.9768 1
O7 O 0.4422 0.0311 0.6419 1
O8 O 0.4423 0.5312 0.1403 1
```

***

Entry 3:
This entry pairs a crystal structure of Sr4LiMn2Ga2O10 with its theoretical powder XRD pattern. Radiation: Cu Kα. Structure: a DFT-relaxed cell (PBE+U, the Materials Project).
No peak broadening, texture or thermal motion is included.

The 12 most intense peaks (10° ≤ 2θ ≤ 90°), in order of rising 2θ:
hkl 0 1 -2, d = 3.919 Å, 2θ 22.69, intensity 26; hkl 0 2 -1, d = 2.920 Å, 2θ 30.62, intensity 100; hkl 2 0 -1, d = 2.907 Å, 2θ 30.76, intensity 39; hkl 1 1 1, d = 2.803 Å, 2θ 31.93, intensity 52; hkl -1 2 1, d = 2.404 Å, 2θ 37.40, intensity 10; hkl 1 1 2, d = 2.200 Å, 2θ 41.02, intensity 12; hkl 2 -2 0, d = 2.153 Å, 2θ 41.96, intensity 19; hkl 0 0 4, d = 1.985 Å, 2θ 45.70, intensity 16; hkl 2 2 -2, d = 1.978 Å, 2θ 45.87, intensity 17; hkl 0 3 0, d = 1.827 Å, 2θ 49.90, intensity 11; hkl 3 0 0, d = 1.820 Å, 2θ 50.13, intensity 11; hkl 2 0 3, d = 1.641 Å, 2θ 56.06, intensity 19

Structure:
```
data_Sr4LiMn2Ga2O10
_cell_length_a 5.8339
_cell_length_b 5.8623
_cell_length_c 8.8726
_cell_angle_alpha 107.61
_cell_angle_beta 107.51
_cell_angle_gamma 94.84
_symmetry_space_group_name_H-M 'P 1'
_symmetry_Int_Tables_number 1
_symmetry_space_group_name_Hall 'P 1'
loop_
_atom_site_label
_atom_site_type_symbol
_atom_site_fract_x
_atom_site_fract_y
_atom_site_fract_z
_atom_site_occupancy
Sr1 Sr 0.0000 0.0000 0.0000 1
Sr2 Sr 0.1428 0.2893 0.4305 1
Sr3 Sr 0.3992 0.6024 0.9997 1
Sr4 Sr 0.6873 0.7427 0.4304 1
Li1 Li 0.6748 0.2766 0.9523 1
Mn1 Mn 0.0616 0.6626 0.2271 1
Mn2 Mn 0.5650 0.1662 0.2272 1
Ga1 Ga 0.3692 0.9680 0.7028 1
Ga2 Ga 0.7335 0.3362 0.7031 1
O1 O 0.1605 0.7557 0.5050 1
O2 O 0.3084 0.4085 0.2161 1
O3 O 0.3186 0.9199 0.2373 1
O4 O 0.3858 0.9824 0.9164 1
O5 O 0.4057 0.3132 0.7231 1
O6 O 0.7168 0.0111 0.7229 1
O7 O 0.7444 0.3509 0.5053 1
O8 O 0.7921 0.3928 0.1850 1
O9 O 0.8088 0.9108 0.2192 1
O10 O 0.9300 0.5358 0.9168 1
```